# 1
Diffraction record for Li3Cu2Au4. The X-ray diffraction stick pattern is theoretical, not measured: it uses a PBE-relaxed structure and Cu Kα X-rays.
Neutral-atom scattering factors, no anomalous dispersion.

Largest 10 diffraction maxima, by angle, 10 to 80 degrees two-theta:
2θ 22.01, I = 649
2θ 23.56, I = 980
2θ 27.75, I = 220
2θ 35.10, I = 395
2θ 38.91, I = 640
2θ 39.56, I = 1000
2θ 40.15, I = 593
2θ 42.32, I = 471
2θ 47.74, I = 589
2θ 64.81, I = 236

```
Li3Cu2Au4
1.0
6.5066 -4.0393 0.0000
6.5066 4.0393 0.0000
-0.9400 0.0000 5.3109
Li Cu Au
6 4 8
direct
0.0094 0.9906 0.7500
0.3290 0.3635 0.1835
0.3635 0.3290 0.6835
0.6365 0.6710 0.3165
0.6710 0.6365 0.8165
0.9906 0.0094 0.2500
0.0123 0.6386 0.6564
0.3614 0.9877 0.8436
0.6386 0.0123 0.1564
0.9877 0.3614 0.3436
0.0408 0.3205 0.8405
0.3078 0.6909 0.9982
0.3091 0.6922 0.5018
0.3205 0.0408 0.3405
0.6795 0.9592 0.6595
0.6909 0.3078 0.4982
0.6922 0.3091 0.0018
0.9592 0.6795 0.1595
```



# 2
Diffraction record for LiCu6Au8. The X-ray diffraction stick pattern is theoretical, not measured: it uses a PBE-relaxed structure and Cu Kα X-rays.
Neutral-atom scattering factors, no anomalous dispersion.

Largest 10 diffraction maxima, by angle, 10 to 80 degrees two-theta:
2θ 20.71, I = 384
2θ 27.51, I = 283
2θ 36.28, I = 247
2θ 37.81, I = 806
2θ 37.96, I = 1000
2θ 42.27, I = 565
2θ 46.12, I = 183
2θ 56.90, I = 233
2θ 75.20, I = 192
2θ 78.33, I = 190

```
LiCu6Au8
1.0
9.9056 0.0000 0.0000
-4.9528 8.5785 0.0000
0.0000 0.0000 2.8441
Li Cu Au
1 6 8
direct
0.0000 0.0000 0.0000
0.0892 0.4776 0.7545
0.3884 0.9108 0.7545
0.4776 0.3884 0.2455
0.5224 0.6116 0.7545
0.6116 0.0892 0.2455
0.9108 0.5224 0.2455
0.0813 0.7814 0.7357
0.2186 0.2999 0.7357
0.2999 0.0813 0.2643
0.3333 0.6667 0.2549
0.6667 0.3333 0.7451
0.7001 0.9187 0.7357
0.7814 0.7001 0.2643
0.9187 0.2186 0.2643
```